(1)
Diffraction record for PmInBr. The XRD peak list is theoretical, not measured: it uses a cell relaxed with GGA-PBE and Cu Kα (weighted mean of Kα1 and Kα2).

Crystal structure
```
PmInBr
1.0
2.2649 1.3077 11.2056
-2.2649 1.3077 11.2056
0.0000 -2.6153 11.2056
Pm In Br
2 2 2
Cartesian
0.0000 0.0000 2.2451
0.0000 0.0000 31.3716
0.0000 0.0000 11.6991
0.0000 0.0000 21.9176
0.0000 0.0000 7.3144
0.0000 0.0000 26.3023
```

Peak list (8 most intense, 2θ from 5° to 70°, sorted by position)
2theta	d (Å)	I (rel.)
7.89	11.206	712
22.82	3.897	118
29.40	3.038	1000
35.16	2.553	129
39.80	2.265	474
44.22	2.048	254
50.24	1.816	221
65.93	1.417	193



(2)
Diffraction record for ZnHgAs2. The XRD peak list is theoretical, not measured: it uses a cell relaxed with GGA-PBE and Cu Kα (weighted mean of Kα1 and Kα2).

Crystal structure
```
ZnHgAs2
1.0
3.9170 -1.8741 0.0000
3.9170 1.8741 0.0000
-1.8657 0.0000 6.1777
Zn Hg As
1 1 2
Cartesian
0.0000 0.0000 0.0000
5.8879 0.0000 1.7503
0.3298 0.0000 5.0143
3.7724 0.0000 3.3544
```

Peak list (8 most intense, 2θ from 5° to 70°, sorted by position)
2theta	d (Å)	I (rel.)
26.59	3.353	330
31.28	2.860	213
31.76	2.817	393
31.97	2.799	1000
42.39	2.132	237
46.39	1.957	406
48.82	1.866	280
59.22	1.560	230



(3)
Diffraction record for Tb3Pr4Ho4. The XRD peak list is theoretical, not measured: it uses a cell relaxed with GGA-PBE and Cu Kα (weighted mean of Kα1 and Kα2).

Crystal structure
```
Tb3Pr4Ho4
1.0
3.6090 0.0000 0.0000
-0.0002 5.0813 0.0000
-1.7662 -2.5363 19.8378
Tb Pr Ho
3 4 4
Cartesian
0.0000 0.0000 0.0000
0.0257 0.0064 14.4335
1.8169 2.5386 5.4042
0.0162 0.0025 7.2323
0.0354 0.0094 18.0138
1.8073 2.5356 1.8239
1.8264 2.5425 12.6055
0.0034 -0.0069 3.6401
0.0225 0.0019 10.7977
1.8202 2.5431 9.0401
1.8393 2.5519 16.1977
```

Peak list (8 most intense, 2θ from 5° to 70°, sorted by position)
2theta	d (Å)	I (rel.)
30.38	2.942	1000
35.18	2.551	339
35.33	2.541	168
50.63	1.803	181
50.72	1.800	180
60.15	1.538	216
60.37	1.533	143
63.22	1.471	124



(4)
Diffraction record for TlTePb2. The XRD peak list is theoretical, not measured: it uses a cell relaxed with GGA-PBE and Cu Kα (weighted mean of Kα1 and Kα2).

Crystal structure
```
TlTePb2
1.0
0.0000 3.9731 3.9731
3.9731 0.0000 3.9731
3.9731 3.9731 0.0000
Tl Te Pb
1 1 2
Cartesian
0.0000 0.0000 0.0000
1.9866 1.9866 1.9866
3.9731 3.9731 3.9731
5.9597 5.9597 5.9597
```

Peak list (8 most intense, 2θ from 5° to 70°, sorted by position)
2theta	d (Å)	I (rel.)
19.35	4.588	25
22.38	3.973	12
31.85	2.809	1000
37.54	2.396	16
45.67	1.987	188
50.03	1.823	8
56.76	1.622	398
66.57	1.405	124